The following is a simulated powder X-ray diffraction pattern of TlHO. It was derived from a structure optimized by DFT (GGA-PBE), using Cu Kα (weighted mean of Kα1 and Kα2).
Intensities are scaled so that the largest is 100.

Top 10 peaks for 15 to 90 degrees two-theta, by angle:
2θ (°)  I_rel  index
18.71  100  0 1 0
26.25  45  1 0 -1
27.95  45  1 -1 0
28.09  79  0 1 -2
29.54  28  0 0 2
33.15  29  1 1 -1
33.63  24  1 0 -2
33.78  25  1 0 1
34.80  27  0 2 -1
44.98  32  1 1 -3

Atomic structure:
a b c (Å): 3.594 5.238 6.708
angles (deg): 109.85 101.74 100.19
Space group P1 (No. 1)
Symmetry-distinct sites (fractional):
Tl 0.000 0.000 0.000
Tl 0.289 0.282 0.568
H 0.320 0.744 0.284
H 0.797 0.481 0.284
O 0.072 0.797 0.284
O 0.691 0.290 0.284